Calculated XRD peak list of CrGeTeO6 for Cu Kα (weighted mean of Kα1 and Kα2), from a crystal structure in Alexandria, relaxed with PBE+U.

Top 12 peaks for 10° ≤ 2θ ≤ 90°, sorted by position:
2θ/deg	intensity
20.51	15
22.55	23
28.84	100
35.11	45
41.00	24
46.05	27
55.64	48
59.19	25
62.98	21
68.37	8
81.47	10
88.93	12

Structural model:
Lattice parameters (Å, degrees): 5.1125 5.1125 8.6588 90.00 90.00 120.00
Space group P-31c (No. 163)
Inequivalent atoms, fractional coordinates:
Cr 0.3333 0.6667 0.2500
Ge 0.0000 0.0000 0.0000
Te 0.3333 0.6667 0.7500
O 0.0062 0.3296 0.1232